This entry pairs a crystal structure of LaAuSO with its computed powder diffraction line list. Radiation: Cu Kα (λ = 1.5418 Å). Structure: a DFT-relaxed cell (GGA-PBE, OQMD).
Peak positions follow from Bragg's law for the DFT cell and can differ from measured ones.

The 12 most intense peaks (10 to 90 degrees two-theta), by angle:
d = 4.547 Å, intensity 57; d = 3.064 Å, intensity 70; d = 3.031 Å, intensity 50; d = 2.934 Å, intensity 82; d = 2.790 Å, intensity 100; d = 2.464 Å, intensity 69; d = 2.108 Å, intensity 52; d = 2.022 Å, intensity 81; d = 1.887 Å, intensity 37; d = 1.796 Å, intensity 37; d = 1.717 Å, intensity 25; d = 1.532 Å, intensity 35

Structure:
a = 9.093 Å, b = 5.861 Å, c = 5.868 Å
α = 90.00°, β = 90.00°, γ = 90.00°
Atoms (fractional coordinates):
La  0.132  0.250  0.000
La  0.132  0.750  0.500
La  0.868  0.250  0.500
La  0.868  0.750  0.000
Au  0.500  0.000  0.001
Au  0.500  0.000  0.501
Au  0.500  0.500  0.001
Au  0.500  0.500  0.501
S  0.292  0.250  0.501
S  0.292  0.750  0.001
S  0.708  0.250  0.001
S  0.708  0.750  0.501
O  0.000  0.000  0.250
O  0.000  0.000  0.750
O  0.000  0.500  0.250
O  0.000  0.500  0.750

---

This entry pairs a crystal structure of Li8Zn4O11 with its computed powder diffraction line list. Radiation: Cu Kα (λ = 1.5418 Å). Structure: a DFT-relaxed cell (GGA-PBE, OQMD).
Peak positions follow from Bragg's law for the DFT cell and can differ from measured ones.

The 12 most intense peaks (10 to 90 degrees two-theta), by angle:
d = 4.706 Å, intensity 100; d = 4.378 Å, intensity 17; d = 4.198 Å, intensity 14; d = 4.151 Å, intensity 30; d = 3.747 Å, intensity 35; d = 3.183 Å, intensity 12; d = 2.501 Å, intensity 35; d = 2.471 Å, intensity 18; d = 2.073 Å, intensity 35; d = 2.066 Å, intensity 36; d = 2.032 Å, intensity 33; d = 1.459 Å, intensity 18

Structure:
a = 5.024 Å, b = 5.039 Å, c = 8.749 Å
α = 83.79°, β = 74.03°, γ = 79.37°
Atoms (fractional coordinates):
Li  0.000  0.000  0.000
Li  0.029  0.236  0.435
Li  0.122  0.490  0.850
Li  0.285  0.983  0.682
Li  0.456  0.485  0.517
Li  0.539  0.728  0.917
Li  0.589  0.999  0.377
Li  0.811  0.452  0.186
Zn  0.178  0.726  0.273
Zn  0.378  0.260  0.096
Zn  0.711  0.233  0.766
Zn  0.867  0.734  0.599
O  0.058  0.102  0.214
O  0.062  0.367  0.647
O  0.145  0.635  0.067
O  0.230  0.842  0.468
O  0.361  0.120  0.901
O  0.430  0.371  0.291
O  0.510  0.597  0.721
O  0.654  0.095  0.567
O  0.740  0.351  0.985
O  0.805  0.624  0.387
O  0.920  0.872  0.806